Record 1
# CeSiRu
Simulated X-ray diffraction stick pattern, Cu Kα (weighted mean of Kα1 and Kα2). Input: a cell relaxed with GGA-PBE.

Main lines, in order of falling intensity (5 to 70 degrees two-theta):
| 2θ/deg | I (rel.) | h k l |
| --- | --- | --- |
| 40.41 | 100.0 | 1 1 2 |
| 32.86 | 91.4 | 1 1 1 |
| 24.92 | 78.0 | 1 0 1 |
| 42.91 | 69.0 | 2 0 0 |
| 34.07 | 58.9 | 1 0 2 |
| 60.22 | 30.8 | 2 0 3 |
| 13.14 | 29.8 | 0 0 1 |
| 55.89 | 28.2 | 2 1 2 |
| 40.16 | 25.6 | 0 0 3 |
| 50.25 | 24.0 | 2 1 1 |

```
data_CeSiRu
_chemical_formula_sum 'Ce2 Si2 Ru2'
_cell_length_a 4.216
_cell_length_b 4.216
_cell_length_c 6.737
_cell_angle_alpha 90.00
_cell_angle_beta 90.00
_cell_angle_gamma 90.00
_space_group_name_H-M_alt 'P 4/n m m'
_space_group_IT_number 129
loop_
_space_group_symop_operation_xyz
'x,y,z'
'-x,-y,-z'
'-y+1/2,x,z'
'y+1/2,-x,-z'
'-x+1/2,-y+1/2,z'
'x+1/2,y+1/2,-z'
'y,-x+1/2,z'
'-y,x+1/2,-z'
'x+1/2,-y,-z'
'-x+1/2,y,z'
'-y,-x,-z'
'y,x,z'
'-x,y+1/2,-z'
'x,-y+1/2,z'
'y+1/2,x+1/2,-z'
'-y+1/2,-x+1/2,z'
loop_
_atom_site_label
_atom_site_type_symbol
_atom_site_fract_x
_atom_site_fract_y
_atom_site_fract_z
_atom_site_occupancy
Ce1 Ce 0.250 0.250 0.180 1
Si1 Si 0.250 0.250 0.687 1
Ru1 Ru 0.250 0.750 0.500 1
```

Record 2
# KSr3
Simulated X-ray diffraction stick pattern, Cu Kα (weighted mean of Kα1 and Kα2). Input: a cell relaxed with GGA-PBE.

Main lines, in order of falling intensity (5 to 70 degrees two-theta):
| 2θ/deg | I (rel.) | h k l |
| --- | --- | --- |
| 25.07 | 100.0 | 1 1 1 |
| 29.03 | 51.6 | 2 0 0 |
| 49.11 | 46.1 | 3 1 1 |
| 41.52 | 38.1 | 2 2 0 |
| 66.21 | 18.5 | 3 3 1 |
| 68.16 | 17.0 | 4 2 0 |
| 51.45 | 13.3 | 2 2 2 |
| 60.16 | 6.2 | 4 0 0 |
| 14.40 | 6.0 | 1 0 0 |
| 20.41 | 5.5 | 1 1 0 |

```
data_KSr3
_chemical_formula_sum 'K1 Sr3'
_cell_length_a 6.152
_cell_length_b 6.152
_cell_length_c 6.152
_cell_angle_alpha 90.00
_cell_angle_beta 90.00
_cell_angle_gamma 90.00
_space_group_name_H-M_alt 'P m -3 m'
_space_group_IT_number 221
_space_group_name_Hall '-P 4 2 3'
loop_
_atom_site_label
_atom_site_type_symbol
_atom_site_fract_x
_atom_site_fract_y
_atom_site_fract_z
_atom_site_occupancy
K1 K 0.000 0.000 0.000 1
Sr1 Sr 0.000 0.500 0.500 1
```

Record 3
# Ho2RuRh
Simulated X-ray diffraction stick pattern, Cu Kα (weighted mean of Kα1 and Kα2). Input: a cell relaxed with GGA-PBE.

Main lines, in order of falling intensity (5 to 70 degrees two-theta):
| 2θ/deg | I (rel.) | h k l |
| --- | --- | --- |
| 37.49 | 100.0 | 2 2 0 |
| 67.63 | 35.1 | 4 2 2 |
| 54.05 | 17.3 | 4 0 0 |
| 26.27 | 5.8 | 2 0 0 |
| 61.07 | 2.5 | 4 2 0 |
| 46.35 | 1.8 | 2 2 2 |

```
data_Ho2RuRh
_chemical_formula_sum 'Ho8 Ru4 Rh4'
_cell_length_a 6.786
_cell_length_b 6.786
_cell_length_c 6.786
_cell_angle_alpha 90.00
_cell_angle_beta 90.00
_cell_angle_gamma 90.00
_space_group_name_H-M_alt 'F m -3 m'
_space_group_IT_number 225
_space_group_name_Hall '-F 4 2 3'
loop_
_atom_site_label
_atom_site_type_symbol
_atom_site_fract_x
_atom_site_fract_y
_atom_site_fract_z
_atom_site_occupancy
Ho1 Ho 0.250 0.250 0.250 1
Ru1 Ru 0.000 0.000 0.000 1
Rh1 Rh 0.000 0.000 0.500 1
```

Record 4
# Zn2GaCuSe4
Simulated X-ray diffraction stick pattern, Cu Kα (weighted mean of Kα1 and Kα2). Input: a cell relaxed with GGA-PBE.

Main lines, in order of falling intensity (5 to 70 degrees two-theta):
| 2θ/deg | I (rel.) | h k l |
| --- | --- | --- |
| 27.10 | 100.0 | 1 1 2 |
| 45.03 | 48.9 | 2 0 4 |
| 53.26 | 29.4 | 3 1 2 |
| 44.93 | 24.7 | 2 2 0 |
| 53.44 | 14.5 | 1 1 6 |
| 65.42 | 7.7 | 4 0 0 |
| 65.74 | 3.8 | 0 0 8 |

```
data_Zn2GaCuSe4
_chemical_formula_sum 'Zn4 Ga2 Cu2 Se8'
_cell_length_a 5.707
_cell_length_b 5.707
_cell_length_c 11.364
_cell_angle_alpha 90.00
_cell_angle_beta 90.00
_cell_angle_gamma 90.00
_space_group_name_H-M_alt 'I -4 2 m'
_space_group_IT_number 121
_space_group_name_Hall 'I -4 2'
loop_
_atom_site_label
_atom_site_type_symbol
_atom_site_fract_x
_atom_site_fract_y
_atom_site_fract_z
_atom_site_occupancy
Zn1 Zn 0.000 0.500 0.250 1
Ga1 Ga 0.000 0.000 0.000 1
Cu1 Cu 0.000 0.000 0.500 1
Se1 Se 0.249 0.249 0.377 1
```

Record 5
# BeH2O2
Simulated X-ray diffraction stick pattern, Cu Kα (weighted mean of Kα1 and Kα2). Input: a cell relaxed with GGA-PBE.

Main lines, in order of falling intensity (5 to 70 degrees two-theta):
| 2θ/deg | I (rel.) | h k l |
| --- | --- | --- |
| 40.81 | 100.0 | 1 1 2 |
| 37.15 | 96.6 | 0 2 0 |
| 36.14 | 60.4 | 1 0 2 |
| 41.73 | 41.3 | 2 1 0 |
| 23.96 | 40.8 | 0 1 1 |
| 66.32 | 26.4 | 3 0 2 |
| 30.33 | 24.2 | 1 1 1 |
| 52.79 | 19.5 | 1 2 2 |
| 64.33 | 10.8 | 0 0 4 |
| 62.78 | 8.5 | 1 3 1 |

```
data_BeH2O2
_chemical_formula_sum 'Be4 H8 O8'
_cell_length_a 4.836
_cell_length_b 4.844
_cell_length_c 5.793
_cell_angle_alpha 90.00
_cell_angle_beta 90.00
_cell_angle_gamma 90.00
_space_group_name_H-M_alt 'P 21 21 21'
_space_group_IT_number 19
_space_group_name_Hall 'P 2ac 2ab'
loop_
_atom_site_label
_atom_site_type_symbol
_atom_site_fract_x
_atom_site_fract_y
_atom_site_fract_z
_atom_site_occupancy
Be1 Be 0.075 0.172 0.375 1
H1 H 0.003 0.913 0.797 1
H2 H 0.193 0.754 0.441 1
O1 O 0.034 0.833 0.357 1
O2 O 0.090 0.766 0.890 1
```

Record 6
# Rb2Bi3F11
Simulated X-ray diffraction stick pattern, Cu Kα (weighted mean of Kα1 and Kα2). Input: a cell relaxed with GGA-PBE.

Main lines, in order of falling intensity (5 to 70 degrees two-theta):
| 2θ/deg | I (rel.) | h k l |
| --- | --- | --- |
| 23.90 | 100.0 | 1 0 -2 |
| 23.70 | 95.2 | 0 1 1 |
| 29.05 | 90.0 | 1 0 3 |
| 24.77 | 84.5 | 0 0 5 |
| 26.89 | 63.3 | 1 -1 2 |
| 28.20 | 48.3 | -1 1 3 |
| 39.36 | 33.0 | 0 1 6 |
| 44.07 | 31.9 | 1 -1 7 |
| 39.63 | 31.5 | 1 0 -7 |
| 42.42 | 30.6 | 2 -1 0 |

```
data_Rb2Bi3F11
_chemical_formula_sum 'Rb2 Bi3 F11'
_cell_length_a 4.295
_cell_length_b 4.322
_cell_length_c 18.122
_cell_angle_alpha 91.71
_cell_angle_beta 95.82
_cell_angle_gamma 114.93
_space_group_name_H-M_alt 'P 1'
_space_group_IT_number 1
_space_group_name_Hall 'P 1'
loop_
_atom_site_label
_atom_site_type_symbol
_atom_site_fract_x
_atom_site_fract_y
_atom_site_fract_z
_atom_site_occupancy
Rb1 Rb 0.000 0.000 0.000 1
Rb2 Rb 0.282 0.870 0.206 1
Bi1 Bi 0.065 0.333 0.606 1
Bi2 Bi 0.477 0.201 0.802 1
Bi3 Bi 0.675 0.521 0.412 1
F1 F 0.034 0.012 0.700 1
F2 F 0.124 0.351 0.438 1
F3 F 0.291 0.625 0.783 1
F4 F 0.431 0.975 0.377 1
F5 F 0.603 0.179 0.523 1
F6 F 0.611 0.322 0.926 1
F7 F 0.643 0.317 0.666 1
F8 F 0.657 0.536 0.294 1
F9 F 0.890 0.203 0.129 1
F10 F 0.947 0.821 0.556 1
F11 F 0.973 0.996 0.843 1
```

Record 7
# LiNbZnO4
Simulated X-ray diffraction stick pattern, Cu Kα (weighted mean of Kα1 and Kα2). Input: a cell relaxed with GGA-PBE.

Main lines, in order of falling intensity (5 to 70 degrees two-theta):
| 2θ/deg | I (rel.) | h k l |
| --- | --- | --- |
| 34.15 | 100.0 | 2 1 1 |
| 22.90 | 55.1 | 1 1 1 |
| 34.82 | 47.2 | 1 0 3 |
| 25.44 | 40.4 | 1 0 2 |
| 60.83 | 40.1 | 2 2 4 |
| 29.32 | 39.5 | 1 1 2 |
| 14.35 | 36.1 | 1 0 0 |
| 54.70 | 25.4 | 3 2 1 |
| 51.52 | 19.9 | 3 1 2 |
| 59.95 | 19.1 | 4 0 0 |

```
data_LiNbZnO4
_chemical_formula_sum 'Li4 Nb4 Zn4 O16'
_cell_length_a 6.172
_cell_length_b 6.172
_cell_length_c 8.505
_cell_angle_alpha 90.00
_cell_angle_beta 90.00
_cell_angle_gamma 90.00
_space_group_name_H-M_alt 'P 41 2 2'
_space_group_IT_number 91
_space_group_name_Hall 'P 4w 2c'
loop_
_atom_site_label
_atom_site_type_symbol
_atom_site_fract_x
_atom_site_fract_y
_atom_site_fract_z
_atom_site_occupancy
Li1 Li 0.000 0.219 0.000 1
Nb1 Nb 0.213 0.500 0.750 1
Zn1 Zn 0.259 0.259 0.375 1
O1 O 0.017 0.263 0.747 1
O2 O 0.266 0.483 0.984 1
```

Number 7 is which compound?
LiNbZnO4

Copy entry 2 word for word.
# KSr3
Simulated X-ray diffraction stick pattern, Cu Kα (weighted mean of Kα1 and Kα2). Input: a cell relaxed with GGA-PBE.

Main lines, in order of falling intensity (5 to 70 degrees two-theta):
| 2θ/deg | I (rel.) | h k l |
| --- | --- | --- |
| 25.07 | 100.0 | 1 1 1 |
| 29.03 | 51.6 | 2 0 0 |
| 49.11 | 46.1 | 3 1 1 |
| 41.52 | 38.1 | 2 2 0 |
| 66.21 | 18.5 | 3 3 1 |
| 68.16 | 17.0 | 4 2 0 |
| 51.45 | 13.3 | 2 2 2 |
| 60.16 | 6.2 | 4 0 0 |
| 14.40 | 6.0 | 1 0 0 |
| 20.41 | 5.5 | 1 1 0 |

```
data_KSr3
_chemical_formula_sum 'K1 Sr3'
_cell_length_a 6.152
_cell_length_b 6.152
_cell_length_c 6.152
_cell_angle_alpha 90.00
_cell_angle_beta 90.00
_cell_angle_gamma 90.00
_space_group_name_H-M_alt 'P m -3 m'
_space_group_IT_number 221
_space_group_name_Hall '-P 4 2 3'
loop_
_atom_site_label
_atom_site_type_symbol
_atom_site_fract_x
_atom_site_fract_y
_atom_site_fract_z
_atom_site_occupancy
K1 K 0.000 0.000 0.000 1
Sr1 Sr 0.000 0.500 0.500 1
```